1.
Diffraction record for PmHf4Tl2. The powder diffraction line list is computed, not measured: it uses a cell relaxed with GGA-PBE and Cu Kα (weighted mean of Kα1 and Kα2).
No peak broadening, texture or thermal motion is included.

Most intense lines, 2θ from 10° to 90°, by angle:
2θ (°)  Rel. int.
12.77  346
24.86  170
30.22  191
32.44  1000
35.28  549
36.95  312
38.98  348
39.37  379
50.51  188
69.94  211

Structure:
```
data_PmHf4Tl2
_symmetry_space_group_name_H-M 'C m m m'
_symmetry_Int_Tables_number 65
_symmetry_space_group_name_Hall '-C 2 2'
_cell_length_a 8.5535
_cell_length_b 11.8309
_cell_length_c 3.6138
_cell_angle_alpha 90.00
_cell_angle_beta 90.00
_cell_angle_gamma 90.00
loop_
_atom_site_label
_atom_site_fract_x
_atom_site_fract_y
_atom_site_fract_z
Pm1 0.0000 0.0000 0.0000
Hf1 0.0000 0.3484 0.0000
Hf2 0.1744 0.5000 0.5000
Tl1 0.2500 0.2500 0.5000
```

---

2.
Diffraction record for Nd3Co11B4. The powder diffraction line list is computed, not measured: it uses a cell relaxed with GGA-PBE and Cu Kα (weighted mean of Kα1 and Kα2).
No peak broadening, texture or thermal motion is included.

Most intense lines, 2θ from 10° to 90°, by angle:
2θ (°)  Rel. int.
20.02  188
34.26  1000
35.05  294
40.69  997
45.12  962
62.36  349
69.94  247
72.18  150
74.06  243
84.19  150

Structure:
```
data_Nd3Co11B4
_symmetry_space_group_name_H-M 'P 6/m m m'
_symmetry_Int_Tables_number 191
_symmetry_space_group_name_Hall '-P 6 2'
_cell_length_a 5.1206
_cell_length_b 5.1206
_cell_length_c 9.7279
_cell_angle_alpha 90.00
_cell_angle_beta 90.00
_cell_angle_gamma 120.00
loop_
_atom_site_label
_atom_site_fract_x
_atom_site_fract_y
_atom_site_fract_z
Nd1 0.0000 0.0000 0.0000
Nd2 0.0000 0.0000 0.3415
Co1 0.0000 0.5000 0.2037
Co2 0.0000 0.5000 0.5000
Co3 0.3333 0.6667 0.0000
B1 0.3333 0.6667 0.3497
```

---

3.
Diffraction record for ScCdSn. The powder diffraction line list is computed, not measured: it uses a cell relaxed with GGA-PBE and Cu Kα (weighted mean of Kα1 and Kα2).
No peak broadening, texture or thermal motion is included.

Most intense lines, 2θ from 10° to 90°, by angle:
2θ (°)  Rel. int.
34.82  1000
37.41  218
41.59  152
42.14  146
57.17  116
57.61  122
65.83  149
71.54  125
72.31  115
73.52  109

Structure:
```
data_ScCdSn
_symmetry_space_group_name_H-M 'C m m m'
_symmetry_Int_Tables_number 65
_symmetry_space_group_name_Hall '-C 2 2'
_cell_length_a 4.3425
_cell_length_b 14.4219
_cell_length_c 4.2884
_cell_angle_alpha 90.00
_cell_angle_beta 90.00
_cell_angle_gamma 90.00
loop_
_atom_site_label
_atom_site_fract_x
_atom_site_fract_y
_atom_site_fract_z
Sc1 0.0000 0.1604 0.0000
Cd1 0.0000 0.0000 0.5000
Cd2 0.0000 0.5000 0.0000
Sn1 0.0000 0.3315 0.5000
```

---

Which formula does entry 2 have? Nd3Co11B4